Record 1
Starting from a DFT-relaxed cell (PBE+U, Alexandria), the powder diffraction line list of Li4Mn3FeB4O12 was calculated for Cu Ka.
Peak positions follow from Bragg's law for the DFT cell and can differ from measured ones.

Most intense lines, 2θ from 15° to 90°, low angle first:
index	two_theta	d (Å)	I_rel
1 -1 1	20.37	4.360	80
0 1 -2	22.12	4.019	34
-1 1 1	22.54	3.944	61
0 2 0	33.54	2.672	100
1 0 -3	34.01	2.636	32
2 0 -2	40.75	2.214	56

Atomic structure:
Lattice parameters (Å, degrees): 5.2474 6.2068 9.0447 105.98 91.24 114.95
Space group P1 (No. 1)
Symmetry-distinct sites (fractional):
Li1 0.0000 0.0000 0.0000
Li2 0.0154 0.6479 0.7663
Li3 0.4971 0.9941 0.5013
Li4 0.5117 0.6418 0.2680
Mn1 0.0604 0.0876 0.6840
Mn2 0.5599 0.0817 0.1850
Mn3 0.9529 0.5614 0.0821
Fe1 0.4634 0.5609 0.5844
B1 0.0495 0.0595 0.3483
B2 0.4658 0.5865 0.9180
B3 0.5486 0.0596 0.8470
B4 0.9633 0.5801 0.4203
O1 0.1333 0.9968 0.2035
O2 0.2401 0.6166 0.4146
O3 0.2458 0.1509 0.4843
O4 0.2716 0.0240 0.8562
O5 0.2724 0.4986 0.7808
O6 0.3792 0.6453 0.0623
O7 0.6345 0.9978 0.7035
O8 0.7425 0.6224 0.9088
O9 0.7430 0.1506 0.9842
O10 0.7714 0.0199 0.3581
O11 0.7717 0.4924 0.2827
O12 0.8716 0.6405 0.5632

***

Record 2
Starting from a DFT-relaxed cell (PBE+U, Alexandria), the powder diffraction line list of Li4Mn3FeB4O12 was calculated for Cu Ka.
Peak positions follow from Bragg's law for the DFT cell and can differ from measured ones.

Most intense lines, 2θ from 15° to 90°, low angle first:
index	two_theta	d (Å)	I_rel
1 0 1	20.41	4.351	79
1 1 0	22.07	4.028	33
0 0 2	22.56	3.941	61
0 2 2	33.48	2.677	100
1 1 -2	33.97	2.639	30
0 2 -2	40.81	2.211	56

Atomic structure:
Lattice parameters (Å, degrees): 5.1770 6.2226 8.0370 78.72 88.72 87.40
Space group P1 (No. 1)
Symmetry-distinct sites (fractional):
Li1 0.0000 0.0000 0.0000
Li2 0.1665 0.9491 0.6983
Li3 0.4975 0.5014 0.5003
Li4 0.6673 0.4507 0.2006
Mn1 0.1776 0.2190 0.3452
Mn2 0.4857 0.2313 0.8551
Mn3 0.6800 0.7182 0.8461
Fe1 0.9925 0.7357 0.3539
B1 0.1812 0.5673 0.0199
B2 0.4878 0.8790 0.1827
B3 0.6811 0.0666 0.5195
B4 0.9812 0.3846 0.6780
O1 0.0370 0.4822 0.1637
O2 0.0770 0.7306 0.8945
O3 0.0900 0.2224 0.8022
O4 0.1195 0.4693 0.5304
O5 0.2269 0.9492 0.1989
O6 0.4388 0.4921 0.0049
O7 0.5396 0.9848 0.6660
O8 0.5740 0.2288 0.3947
O9 0.5979 0.7205 0.3080
O10 0.6263 0.9657 0.0363
O11 0.7243 0.4584 0.6961
O12 0.9383 0.9913 0.5035

***

Record 3
Starting from a DFT-relaxed cell (PBE+U, Alexandria), the powder diffraction line list of Li8Mn7FeB8O24 was calculated for Cu Ka.
Peak positions follow from Bragg's law for the DFT cell and can differ from measured ones.

Most intense lines, 2θ from 15° to 90°, low angle first:
index	two_theta	d (Å)	I_rel
1 1 -1	20.34	4.366	62
0 2 -2	22.10	4.021	28
-1 1 1	22.59	3.936	48
0 0 4	33.94	2.641	100
2 0 0	34.17	2.624	23
2 -2 2	40.75	2.214	46

Atomic structure:
Lattice parameters (Å, degrees): 5.2495 9.0697 11.1501 108.65 90.09 91.19
Space group P1 (No. 1)
Symmetry-distinct sites (fractional):
Li1 0.0000 0.0000 0.0000
Li2 0.0002 0.4984 0.4935
Li3 0.3123 0.2328 0.6765
Li4 0.3136 0.7325 0.1790
Li5 0.4988 0.4994 0.9998
Li6 0.5007 0.9979 0.4958
Li7 0.8104 0.7338 0.6731
Li8 0.8129 0.2333 0.1783
Mn1 0.3325 0.4124 0.2148
Mn2 0.4810 0.3164 0.4550
Mn3 0.4815 0.8180 0.9584
Mn4 0.8318 0.4185 0.7163
Mn5 0.8350 0.9137 0.2146
Mn6 0.9812 0.3168 0.9593
Mn7 0.9823 0.8153 0.4539
Fe1 0.3211 0.9152 0.7163
B1 0.3301 0.5832 0.7047
B2 0.3307 0.0795 0.2065
B3 0.4805 0.1518 0.9693
B4 0.4810 0.6516 0.4639
B5 0.8294 0.0803 0.7069
B6 0.8293 0.5782 0.2061
B7 0.9824 0.1518 0.4649
B8 0.9819 0.6533 0.9717
O1 0.0721 0.0906 0.1891
O2 0.0716 0.5923 0.6859
O3 0.2402 0.1424 0.4858
O4 0.2410 0.6430 0.9865
O5 0.3290 0.0163 0.9221
O6 0.3309 0.5147 0.4167
O7 0.3652 0.2970 0.0043
O8 0.3660 0.7957 0.4962
O9 0.4459 0.4390 0.6751
O10 0.4457 0.9354 0.1764
O11 0.4796 0.7206 0.7492
O12 0.4815 0.2158 0.2500
O13 0.5698 0.5859 0.1889
O14 0.5708 0.0851 0.6879
O15 0.7392 0.1412 0.9861
O16 0.7391 0.6417 0.4839
O17 0.8306 0.5179 0.9244
O18 0.8329 0.0148 0.4169
O19 0.8655 0.7985 0.0071
O20 0.8661 0.2959 0.4974
O21 0.9495 0.4356 0.1757
O22 0.9519 0.9373 0.6759
O23 0.9770 0.2178 0.7513
O24 0.9770 0.7156 0.2492